# B5C7
Simulated powder diffraction line list, Cu Kα (λ = 1.5418 Å). Input: a PBE-relaxed structure.
Lines closer than 0.1° are merged.

Largest 10 diffraction maxima, by angle, 10 to 80 degrees two-theta:
2θ = 23.2°, rel. 12, (0 1 0); 2θ = 25.1°, rel. 4, (1 0 0); 2θ = 28.3°, rel. 3, (0 1 1); 2θ = 32.2°, rel. 4, (0 0 2); 2θ = 34.8°, rel. 1, (1 1 -1); 2θ = 41.2°, rel. 95, (1 1 1); 2θ = 42.2°, rel. 100, (1 1 -2); 2θ = 59.3°, rel. 2, (1 2 1); 2θ = 70.7°, rel. 64, (2 0 2); 2θ = 73.4°, rel. 11, (2 0 -4)

Structural model:
Cell: 3.710 3.837 5.806 Å, 90.00 106.72 90.00°
Space group P2 (No. 3)
Unique sites:
B 0.000 0.000 0.000 (multiplicity 1)
B 0.000 0.205 0.500 (multiplicity 1)
B 0.179 0.665 0.816 (multiplicity 2)
B 0.500 0.691 0.500 (multiplicity 1)
C 0.178 0.438 0.324 (multiplicity 2)
C 0.336 0.964 0.681 (multiplicity 2)
C 0.353 0.205 0.174 (multiplicity 2)
C 0.500 0.431 0.000 (multiplicity 1)